Record 1
Simulated X-ray diffraction stick pattern
Compound: Gd2PIBr
Radiation: Cu Kα, 1.54184 Å
Structure: a structure optimized by DFT (GGA-PBE)

Peak list (10 most intense, 2θ = 5–70°, in order of rising 2θ)
- d 10.661, intensity 30.5
- d 5.331, intensity 9.8
- d 3.546, intensity 23.7
- d 2.952, intensity 100.0
- d 2.510, intensity 8.8
- d 2.130, intensity 27.6
- d 2.047, intensity 28.7
- d 1.682, intensity 18.8
- d 1.623, intensity 9.9
- d 1.476, intensity 10.3

Atomic structure:
a b c (Å): 4.0938 4.0938 10.6611
angles (deg): 90.00 90.00 120.00
Element x y z (fractional)
1 Gd 0.0000 0.0000 0.0000
2 Gd 0.3333 0.6667 0.2854
3 P 0.6667 0.3333 0.1431
4 I 0.3333 0.6667 0.8049
5 Br 0.0000 0.0000 0.4558



Record 2
Simulated X-ray diffraction stick pattern
Compound: Pr2Ni2Cl
Radiation: Cu Kα, 1.54184 Å
Structure: a structure optimized by DFT (GGA-PBE)

Peak list (10 most intense, 2θ = 5–70°, in order of rising 2θ)
- d 8.226, intensity 34.4
- d 3.486, intensity 32.6
- d 2.659, intensity 100.0
- d 2.155, intensity 12.0
- d 2.056, intensity 10.1
- d 2.012, intensity 34.7
- d 1.955, intensity 5.8
- d 1.771, intensity 6.1
- d 1.605, intensity 21.1
- d 1.438, intensity 18.3

Atomic structure:
a b c (Å): 4.0247 4.0247 8.2259
angles (deg): 90.00 90.00 120.00
Element x y z (fractional)
1 Pr 0.0000 0.0000 0.2275
2 Pr 0.0000 0.0000 0.7725
3 Ni 0.3333 0.6667 0.0000
4 Ni 0.6667 0.3333 0.0000
5 Cl 0.6667 0.3333 0.5000



Record 3
Simulated X-ray diffraction stick pattern
Compound: GdDyAl4Fe2
Radiation: Cu Kα, 1.54184 Å
Structure: a structure optimized by DFT (GGA-PBE)

Peak list (10 most intense, 2θ = 5–70°, in order of rising 2θ)
- d 4.116, intensity 21.7
- d 3.759, intensity 67.4
- d 3.532, intensity 53.8
- d 2.574, intensity 100.0
- d 2.434, intensity 96.9
- d 2.384, intensity 57.9
- d 2.024, intensity 27.2
- d 1.756, intensity 25.5
- d 1.743, intensity 30.8
- d 1.543, intensity 29.3

Atomic structure:
a b c (Å): 7.0632 5.4548 5.4548
angles (deg): 43.56 90.00 90.00
Element x y z (fractional)
1 Gd 0.0000 0.0000 0.0000
2 Dy 0.5000 0.8764 0.8764
3 Al 0.1944 0.2809 0.2809
4 Al 0.3077 0.5957 0.5957
5 Al 0.6923 0.5957 0.5957
6 Al 0.8056 0.2809 0.2809
7 Fe 0.0000 0.7250 0.7250
8 Fe 0.5000 0.1520 0.1520



Record 4
Simulated X-ray diffraction stick pattern
Compound: Rb4HfO4
Radiation: Cu Kα, 1.54184 Å
Structure: a structure optimized by DFT (GGA-PBE)

Peak list (10 most intense, 2θ = 5–70°, in order of rising 2θ)
- d 5.950, intensity 26.9
- d 5.227, intensity 24.3
- d 3.264, intensity 45.9
- d 3.173, intensity 100.0
- d 3.132, intensity 53.4
- d 3.121, intensity 51.1
- d 3.083, intensity 30.2
- d 2.842, intensity 65.2
- d 2.675, intensity 72.5
- d 1.828, intensity 26.6

Atomic structure:
a b c (Å): 6.8184 19.1241 6.7951
angles (deg): 90.00 113.27 90.00
Element x y z (fractional)
1 Rb 0.1515 0.0827 0.2325
2 Rb 0.1515 0.4173 0.7325
3 Rb 0.2083 0.2172 0.6913
4 Rb 0.2083 0.2828 0.1913
5 Rb 0.2784 0.0144 0.7531
6 Rb 0.2784 0.4856 0.2531
7 Rb 0.3099 0.6904 0.3169
8 Rb 0.3099 0.8096 0.8169
9 Rb 0.6901 0.1904 0.1831
10 Rb 0.6901 0.3096 0.6831
11 Rb 0.7216 0.5144 0.7469
12 Rb 0.7216 0.9856 0.2469
13 Rb 0.7917 0.7172 0.8087
14 Rb 0.7917 0.7828 0.3087
15 Rb 0.8485 0.5827 0.2675
16 Rb 0.8485 0.9173 0.7675
17 Hf 0.2466 0.6229 0.8030
18 Hf 0.2466 0.8771 0.3030
19 Hf 0.7534 0.1229 0.6970
20 Hf 0.7534 0.3771 0.1970
21 O 0.0659 0.6903 0.5905
22 O 0.0659 0.8097 0.0905
23 O 0.0849 0.5951 0.9748
24 O 0.0849 0.9049 0.4748
25 O 0.2974 0.5452 0.6389
26 O 0.2974 0.9548 0.1389
27 O 0.4903 0.1712 0.5066
28 O 0.4903 0.3288 0.0066
29 O 0.5097 0.6712 0.9934
30 O 0.5097 0.8288 0.4934
31 O 0.7026 0.0452 0.8611
32 O 0.7026 0.4548 0.3611
33 O 0.9151 0.0951 0.5252
34 O 0.9151 0.4049 0.0252
35 O 0.9341 0.1903 0.9095
36 O 0.9341 0.3097 0.4095



Record 5
Simulated X-ray diffraction stick pattern
Compound: TbScTa2Ge2
Radiation: Cu Kα, 1.54184 Å
Structure: a structure optimized by DFT (GGA-PBE)

Peak list (10 most intense, 2θ = 5–70°, in order of rising 2θ)
- d 7.690, intensity 75.0
- d 2.768, intensity 17.5
- d 2.647, intensity 100.0
- d 2.563, intensity 28.4
- d 2.274, intensity 86.0
- d 2.156, intensity 14.8
- d 1.994, intensity 45.8
- d 1.588, intensity 13.3
- d 1.574, intensity 25.6
- d 1.410, intensity 14.8

Atomic structure:
a b c (Å): 3.9873 3.9873 7.6901
angles (deg): 90.00 90.00 90.00
Element x y z (fractional)
1 Tb 0.0000 0.0000 0.0000
2 Sc 0.5000 0.5000 0.2963
3 Ta 0.0000 0.5000 0.6389
4 Ta 0.5000 0.0000 0.6389
5 Ge 0.0000 0.0000 0.3878
6 Ge 0.5000 0.5000 0.8916



Record 6
Simulated X-ray diffraction stick pattern
Compound: AcThB4
Radiation: Cu Kα, 1.54184 Å
Structure: a structure optimized by DFT (GGA-PBE)

Peak list (10 most intense, 2θ = 5–70°, in order of rising 2θ)
- d 4.320, intensity 55.8
- d 2.933, intensity 71.8
- d 2.427, intensity 100.0
- d 2.160, intensity 12.6
- d 1.739, intensity 33.0
- d 1.694, intensity 18.0
- d 1.577, intensity 22.7
- d 1.467, intensity 9.5
- d 1.440, intensity 2.9
- d 1.389, intensity 17.8

Atomic structure:
a b c (Å): 3.3871 3.3871 8.6408
angles (deg): 90.00 90.00 120.00
Element x y z (fractional)
1 Ac 0.0000 0.0000 0.0000
2 Th 0.0000 0.0000 0.5000
3 B 0.3333 0.6667 0.2634
4 B 0.3333 0.6667 0.7366
5 B 0.6667 0.3333 0.2634
6 B 0.6667 0.3333 0.7366



Record 7
Simulated X-ray diffraction stick pattern
Compound: Cu2SnHgTe3Se
Radiation: Cu Kα, 1.54184 Å
Structure: a structure optimized by DFT (GGA-PBE)

Peak list (10 most intense, 2θ = 5–70°, in order of rising 2θ)
- d 4.399, intensity 9.1
- d 3.584, intensity 31.6
- d 3.565, intensity 100.0
- d 2.765, intensity 7.4
- d 2.199, intensity 35.7
- d 2.186, intensity 31.9
- d 2.173, intensity 30.8
- d 1.876, intensity 21.5
- d 1.869, intensity 20.7
- d 1.555, intensity 11.7

Atomic structure:
a b c (Å): 6.2207 6.2207 7.4991
angles (deg): 114.22 114.22 89.97
Element x y z (fractional)
1 Cu 0.2377 0.7623 0.0000
2 Cu 0.7623 0.2377 0.0000
3 Sn 0.9972 0.9972 0.5190
4 Hg 0.5140 0.5140 0.5158
5 Te 0.1075 0.6134 0.2229
6 Te 0.3930 0.3930 0.7989
7 Te 0.6134 0.1075 0.2229
8 Se 0.8987 0.8987 0.7923



Record 8
Simulated X-ray diffraction stick pattern
Compound: GdAlSi
Radiation: Cu Kα, 1.54184 Å
Structure: a structure optimized by DFT (GGA-PBE)

Peak list (10 most intense, 2θ = 5–70°, in order of rising 2θ)
- d 3.975, intensity 43.1
- d 3.616, intensity 25.4
- d 3.139, intensity 52.3
- d 2.710, intensity 100.0
- d 2.370, intensity 41.8
- d 2.067, intensity 30.1
- d 1.848, intensity 19.9
- d 1.726, intensity 18.6
- d 1.558, intensity 22.6
- d 1.378, intensity 15.2

Atomic structure:
a b c (Å): 7.8011 7.8011 7.8011
angles (deg): 149.27 149.27 44.01
Element x y z (fractional)
1 Gd 0.0000 0.0000 0.0000
2 Gd 0.7500 0.2500 0.5000
3 Al 0.1663 0.6663 0.5000
4 Al 0.4163 0.4163 0.0000
5 Si 0.3317 0.8317 0.5000
6 Si 0.5817 0.5817 0.0000



Record 9
Simulated X-ray diffraction stick pattern
Compound: HoTmSnC
Radiation: Cu Kα, 1.54184 Å
Structure: a structure optimized by DFT (GGA-PBE)

Peak list (10 most intense, 2θ = 5–70°, in order of rising 2θ)
- d 7.842, intensity 4.2
- d 3.103, intensity 22.4
- d 2.668, intensity 100.0
- d 2.614, intensity 20.0
- d 1.999, intensity 15.8
- d 1.791, intensity 21.6
- d 1.551, intensity 3.0
- d 1.519, intensity 18.3
- d 1.487, intensity 17.1
- d 1.478, intensity 21.5

Atomic structure:
a b c (Å): 3.5828 3.5828 15.6831
angles (deg): 90.00 90.00 120.00
Element x y z (fractional)
1 Ho 0.0000 0.0000 0.1658
2 Ho 0.0000 0.0000 0.8342
3 Tm 0.3333 0.6667 0.3343
4 Tm 0.3333 0.6667 0.6657
5 Sn 0.0000 0.0000 0.5000
6 Sn 0.3333 0.6667 0.0000
7 C 0.6667 0.3333 0.2510
8 C 0.6667 0.3333 0.7490



Record 10
Simulated X-ray diffraction stick pattern
Compound: YCd2Hg2
Radiation: Cu Kα, 1.54184 Å
Structure: a structure optimized by DFT (GGA-PBE)

Peak list (10 most intense, 2θ = 5–70°, in order of rising 2θ)
- d 6.269, intensity 34.0
- d 3.053, intensity 14.4
- d 2.823, intensity 100.0
- d 2.235, intensity 45.4
- d 2.226, intensity 45.8
- d 2.187, intensity 16.2
- d 1.581, intensity 15.2
- d 1.563, intensity 10.7
- d 1.527, intensity 11.3
- d 1.379, intensity 22.5

Atomic structure:
a b c (Å): 7.0212 7.0212 7.0212
angles (deg): 142.87 142.87 53.52
Element x y z (fractional)
1 Y 0.0000 0.0000 0.0000
2 Cd 0.3941 0.3941 0.0000
3 Cd 0.6059 0.6059 0.0000
4 Hg 0.2500 0.7500 0.5000
5 Hg 0.7500 0.2500 0.5000



Record 11
Simulated X-ray diffraction stick pattern
Compound: Tm2Si2O7
Radiation: Cu Kα, 1.54184 Å
Structure: a structure optimized by DFT (GGA-PBE)

Peak list (10 most intense, 2θ = 5–70°, in order of rising 2θ)
- d 4.870, intensity 34.8
- d 4.650, intensity 42.2
- d 4.264, intensity 28.6
- d 3.215, intensity 56.2
- d 3.067, intensity 100.0
- d 2.986, intensity 31.6
- d 2.673, intensity 19.6
- d 2.650, intensity 30.9
- d 2.449, intensity 27.4
- d 1.685, intensity 26.1

Atomic structure:
a b c (Å): 4.6760 10.6907 5.5017
angles (deg): 90.00 96.09 90.00
Element x y z (fractional)
1 Tm 0.1119 0.1504 0.4078
2 Tm 0.1119 0.3496 0.9078
3 Tm 0.8881 0.6504 0.0922
4 Tm 0.8881 0.8496 0.5922
5 Si 0.3587 0.6136 0.6456
6 Si 0.3587 0.8864 0.1456
7 Si 0.6413 0.1136 0.8544
8 Si 0.6413 0.3864 0.3544
9 O 0.1190 0.6843 0.4569
10 O 0.1190 0.8157 0.9569
11 O 0.2039 0.5510 0.8713
12 O 0.2039 0.9490 0.3713
13 O 0.3800 0.2052 0.7447
14 O 0.3800 0.2948 0.2447
15 O 0.5000 0.0000 0.0000
16 O 0.5000 0.5000 0.5000
17 O 0.6200 0.7052 0.7553
18 O 0.6200 0.7948 0.2553
19 O 0.7961 0.0510 0.6287
20 O 0.7961 0.4490 0.1287
21 O 0.8810 0.1843 0.0431
22 O 0.8810 0.3157 0.5431



Record 12
Simulated X-ray diffraction stick pattern
Compound: Sc2ZnIr
Radiation: Cu Kα, 1.54184 Å
Structure: a structure optimized by DFT (GGA-PBE)

Peak list (10 most intense, 2θ = 5–70°, in order of rising 2θ)
- d 4.669, intensity 33.9
- d 3.301, intensity 30.9
- d 3.218, intensity 14.5
- d 2.649, intensity 16.6
- d 2.334, intensity 52.0
- d 2.304, intensity 100.0
- d 2.088, intensity 8.6
- d 1.890, intensity 13.9
- d 1.752, intensity 10.3
- d 1.651, intensity 17.4

Atomic structure:
a b c (Å): 5.6703 5.6703 5.6703
angles (deg): 110.85 108.79 108.78
Element x y z (fractional)
1 Sc 0.0000 0.2503 0.2503
2 Sc 0.0000 0.7497 0.7497
3 Sc 0.5000 0.2503 0.7503
4 Sc 0.5000 0.7497 0.2497
5 Zn 0.4993 0.2493 0.2500
6 Zn 0.5007 0.7507 0.7500
7 Ir 0.9997 0.2497 0.7500
8 Ir 0.0003 0.7503 0.2500